No. 1
K3NbS4: calculated powder X-ray diffraction pattern (λ = 1.5418 Å (Cu Kα)), based on DFT lattice parameters and positions (PBE).

Cell and atoms:
```
data_K3NbS4
_chemical_formula_sum 'K12 Nb4 S16'
_cell_length_a 9.382
_cell_length_b 10.889
_cell_length_c 9.619
_cell_angle_alpha 90.00
_cell_angle_beta 90.00
_cell_angle_gamma 90.00
_space_group_name_H-M_alt 'P n m a'
_space_group_IT_number 62
_space_group_name_Hall '-P 2ac 2n'
loop_
_atom_site_label
_atom_site_fract_x
_atom_site_fract_y
_atom_site_fract_z
K1 0.060 0.045 0.212
K2 0.133 0.750 0.426
Nb1 0.214 0.750 0.988
S1 0.008 0.250 0.911
S2 0.166 0.076 0.551
S3 0.189 0.750 0.751
```

Top 10 peaks for 10 to 90 degrees two-theta, sorted by position:
d (Å)  2theta  I/Imax
5.716  15.5  100
5.445  16.3  27
3.605  24.7  36
3.554  25.1  25
3.361  26.5  47
3.076  29.0  24
2.923  30.6  27
2.870  31.2  72
2.751  32.6  20
2.722  32.9  23

No. 2
Te2MoW2Se2S2: calculated powder X-ray diffraction pattern (λ = 1.5418 Å (Cu Kα)), based on DFT lattice parameters and positions (PBE).

Cell and atoms:
```
data_Te2MoW2Se2S2
_chemical_formula_sum 'Te2 Mo1 W2 Se2 S2'
_cell_length_a 3.3452
_cell_length_b 3.3452
_cell_length_c 31.0082
_cell_angle_alpha 90.00
_cell_angle_beta 90.00
_cell_angle_gamma 120.00
_space_group_name_H-M_alt 'P 3 m 1'
_space_group_IT_number 156
_space_group_name_Hall 'P 3 -2"'
loop_
_atom_site_label
_atom_site_fract_x
_atom_site_fract_y
_atom_site_fract_z
Te1 0.0000 0.0000 0.0000
Te2 0.0000 0.0000 0.1222
Mo1 0.3333 0.6667 0.0611
W1 0.0000 0.0000 0.2925
W2 0.0000 0.0000 0.8298
Se1 0.3333 0.6667 0.2385
Se2 0.3333 0.6667 0.3464
S1 0.3333 0.6667 0.7807
S2 0.3333 0.6667 0.8789
```

Top 10 peaks for 10 to 90 degrees two-theta, sorted by position:
d (Å)  2theta  I/Imax
7.752  11.4  100
5.168  17.2  13
2.897  30.9  35
2.884  31.0  16
2.714  33.0  17
2.527  35.5  52
2.425  37.1  59
2.117  42.7  22
2.020  44.9  39
1.672  54.9  29

No. 3
TlSn: calculated powder X-ray diffraction pattern (λ = 1.5418 Å (Cu Kα)), based on DFT lattice parameters and positions (PBE).

Cell and atoms:
```
data_TlSn
_chemical_formula_sum 'Tl2 Sn2'
_cell_length_a 5.964
_cell_length_b 3.460
_cell_length_c 5.794
_cell_angle_alpha 90.00
_cell_angle_beta 97.54
_cell_angle_gamma 90.00
_space_group_name_H-M_alt 'C 1 m 1'
_space_group_IT_number 8
_space_group_name_Hall 'C -2y'
loop_
_atom_site_label
_atom_site_fract_x
_atom_site_fract_y
_atom_site_fract_z
Tl1 0.000 0.000 0.000
Sn1 0.335 0.000 0.503
```

Top 10 peaks for 10 to 90 degrees two-theta, sorted by position:
d (Å)  2theta  I/Imax
5.744  15.4  23
2.986  29.9  48
2.956  30.2  25
2.872  31.1  76
2.781  32.2  53
2.725  32.9  100
2.581  34.8  88
2.498  35.9  39
1.713  53.5  47
1.551  59.6  25